This entry pairs a crystal structure of Fe2P2H6C2O13 with its calculated X-ray powder pattern. Radiation: Cu Kα, 1.54184 Å. Structure: the GGA+U geometry in the Materials Project.
Peak positions follow from Bragg's law for the DFT cell and can differ from measured ones.

Principal peaks in the range 10 to 80 degrees two-theta, in order of rising 2θ:
index  2θ/deg  intensity
0 1 1  13.11  1000
0 2 1  15.61  210
1 0 0  18.49  328
1 1 -1  19.68  353
0 4 1  23.11  209
1 0 -2  26.23  467
1 1 -2  26.69  741
1 3 1  29.06  389
0 4 2  31.53  208
1 5 2  43.14  171

Atomic structure:
```
data_Fe2P2H6C2O13
_symmetry_space_group_name_H-M 'P 1 21 1'
_symmetry_Int_Tables_number 4
_symmetry_space_group_name_Hall 'P 2yb'
_cell_length_a 5.002
_cell_length_b 18.146
_cell_length_c 7.584
_cell_angle_alpha 90.00
_cell_angle_beta 106.44
_cell_angle_gamma 90.00
loop_
_atom_site_label
_atom_site_fract_x
_atom_site_fract_y
_atom_site_fract_z
Fe1 0.100 0.000 0.292
Fe2 0.120 0.796 0.757
P1 0.173 0.451 0.495
P2 0.242 0.359 0.014
H1 0.021 0.032 0.698
H2 0.105 0.747 0.208
H3 0.380 0.968 0.848
H4 0.412 0.262 0.575
H5 0.452 0.884 0.382
H6 0.484 0.543 0.183
C1 0.134 0.155 0.342
C2 0.146 0.642 0.807
O1 0.078 0.422 0.914
O2 0.098 0.382 0.369
O3 0.105 0.288 0.031
O4 0.183 0.521 0.369
O5 0.185 0.221 0.399
O6 0.191 0.755 0.340
O7 0.194 0.576 0.862
O8 0.288 0.100 0.396
O9 0.305 0.697 0.862
O10 0.337 0.020 0.809
O11 0.448 0.793 0.333
O12 0.449 0.867 0.908
O13 0.482 0.939 0.405
```